Calculated powder X-ray diffraction pattern of Si for λ = 1.5418 Å (Cu Kα), from a GGA-PBE-relaxed structure.

Most intense lines, 2θ = 5–70°, in order of rising 2θ:
2θ (°)  Rel. int.
28.27  100
47.00  67
55.75  40
68.65  11

a b c (Å): 5.469 5.469 5.469
angles (deg): 90.00 90.00 90.00
Space group Fd-3m (No. 227, origin choice 2)
Symmetry-distinct sites (fractional):
Si (0.125, 0.125, 0.125)